This entry pairs a crystal structure of Mn3Re5 with its theoretical powder diffractogram. Radiation: CuKα. Structure: a crystal structure in Alexandria, relaxed with GGA-PBE.
Neutral-atom scattering factors, no anomalous dispersion.

Principal peaks in the range 2θ from 10° to 90°, sorted by position:
2θ/deg  I/Imax
29.5  23
37.5  45
38.7  55
42.2  76
43.2  100
46.4  57
68.5  29
69.3  28
71.7  22
83.1  23

Structure:
Cell: 7.1919 7.1919 7.1919 Å, 96.37 96.37 141.10°
Positions (direct):
Mn 0.1753 0.6753 0.8506
Mn 0.2500 0.2500 0.0000
Mn 0.3247 0.1753 0.5000
Mn 0.6753 0.8247 0.5000
Mn 0.7500 0.7500 0.0000
Mn 0.8247 0.3247 0.1494
Re 0.0695 0.2228 0.2924
Re 0.2228 0.9305 0.1533
Re 0.2500 0.7500 0.5000
Re 0.2772 0.4305 0.7076
Re 0.4305 0.7228 0.1533
Re 0.5695 0.2772 0.8467
Re 0.7228 0.5695 0.2924
Re 0.7500 0.2500 0.5000
Re 0.7772 0.0695 0.8467
Re 0.9305 0.7772 0.7076



This entry pairs a crystal structure of MnRe5 with its theoretical powder diffractogram. Radiation: CuKα. Structure: a crystal structure in Alexandria, relaxed with GGA-PBE.
Neutral-atom scattering factors, no anomalous dispersion.

Principal peaks in the range 2θ from 10° to 90°, sorted by position:
2θ/deg  I/Imax
37.8  32
38.0  18
40.7  52
43.1  70
43.2  100
43.5  32
56.7  17
68.6  23
75.7  19
82.5  14

Structure:
Cell: 5.2182 5.2182 6.4641 Å, 104.39 104.39 30.59°
Positions (direct):
Mn 0.0000 0.0000 0.0000
Re 0.0536 0.0536 0.6105
Re 0.3375 0.3375 0.6703
Re 0.3920 0.3920 0.2648
Re 0.6630 0.6630 0.3247
Re 0.7175 0.7175 0.9420



This entry pairs a crystal structure of Mn4Re5 with its theoretical powder diffractogram. Radiation: CuKα. Structure: a crystal structure in Alexandria, relaxed with GGA-PBE.
Neutral-atom scattering factors, no anomalous dispersion.

Principal peaks in the range 2θ from 10° to 90°, sorted by position:
2θ/deg  I/Imax
14.1  14
29.9  45
42.4  100
43.3  100
53.5  9
62.2  32
71.2  8
78.7  33
79.4  16
87.4  27

Structure:
Cell: 7.2436 7.2436 5.2786 Å, 90.00 90.00 120.00°
Positions (direct):
Mn 0.0000 0.0000 0.0000
Mn 0.0000 0.0000 0.5000
Mn 0.0000 0.3346 0.2500
Mn 0.0000 0.6654 0.7500
Mn 0.3346 0.0000 0.2500
Mn 0.3346 0.3346 0.7500
Mn 0.6654 0.0000 0.7500
Mn 0.6654 0.6654 0.2500
Re 0.0000 0.3245 0.7500
Re 0.0000 0.6755 0.2500
Re 0.3245 0.0000 0.7500
Re 0.3245 0.3245 0.2500
Re 0.3333 0.6667 0.0000
Re 0.3333 0.6667 0.5000
Re 0.6667 0.3333 0.0000
Re 0.6667 0.3333 0.5000
Re 0.6755 0.0000 0.2500
Re 0.6755 0.6755 0.7500



This entry pairs a crystal structure of MnRe2 with its theoretical powder diffractogram. Radiation: CuKα. Structure: a crystal structure in Alexandria, relaxed with GGA-PBE.
Neutral-atom scattering factors, no anomalous dispersion.

Principal peaks in the range 2θ from 10° to 90°, sorted by position:
2θ/deg  I/Imax
23.6  13
30.5  9
40.9  100
47.5  33
47.9  16
69.4  10
69.8  20
83.9  25
84.5  12
88.8  11

Structure:
Cell: 11.7081 11.7081 11.7081 Å, 161.17 161.17 26.75°
Positions (direct):
Mn 0.2910 0.5410 0.7500
Mn 0.4590 0.7090 0.7500
Mn 0.5410 0.2910 0.2500
Mn 0.7090 0.4590 0.2500
Re 0.0401 0.7901 0.2500
Re 0.1258 0.3758 0.7500
Re 0.2099 0.9599 0.2500
Re 0.3758 0.1258 0.2500
Re 0.6242 0.8742 0.7500
Re 0.7901 0.0401 0.7500
Re 0.8742 0.6242 0.2500
Re 0.9599 0.2099 0.7500



This entry pairs a crystal structure of Mn5Re3 with its theoretical powder diffractogram. Radiation: CuKα. Structure: a crystal structure in Alexandria, relaxed with GGA-PBE.
Neutral-atom scattering factors, no anomalous dispersion.

Principal peaks in the range 2θ from 10° to 90°, sorted by position:
2θ/deg  I/Imax
24.4  22
33.8  19
42.2  100
48.4  17
48.8  16
50.0  15
71.2  10
86.1  12
86.6  12
88.4  12

Structure:
Cell: 5.2197 5.2197 3.7588 Å, 90.00 90.00 91.29°
Positions (direct):
Mn 0.0000 0.0000 0.0000
Mn 0.0000 0.5000 0.0000
Mn 0.2479 0.2479 0.5000
Mn 0.5000 0.0000 0.0000
Mn 0.7521 0.7521 0.5000
Re 0.2409 0.7591 0.5000
Re 0.5000 0.5000 0.0000
Re 0.7591 0.2409 0.5000



This entry pairs a crystal structure of MnRe2 with its theoretical powder diffractogram. Radiation: CuKα. Structure: a crystal structure in Alexandria, relaxed with GGA-PBE.
Neutral-atom scattering factors, no anomalous dispersion.

Principal peaks in the range 2θ from 10° to 90°, sorted by position:
2θ/deg  I/Imax
30.9  42
33.3  85
38.5  77
43.2  100
47.2  27
48.2  62
53.4  54
69.4  25
76.1  36
85.4  28

Structure:
Cell: 11.7150 11.7150 11.7150 Å, 166.73 166.73 18.82°
Positions (direct):
Mn 0.3750 0.6250 0.7500
Mn 0.6250 0.3750 0.2500
Re 0.0503 0.8003 0.2500
Re 0.1997 0.9497 0.2500
Re 0.8003 0.0503 0.7500
Re 0.9497 0.1997 0.7500